[1]
Ca3Hg4Ge2: computed X-ray diffraction stick pattern (copper Kα), based on a structure optimized by DFT (PBE).

Principal peaks in the range 2θ from 10° to 80°, sorted by position:
| two_theta | d_spacing | I_rel |
| --- | --- | --- |
| 15.88 | 5.580 | 31 |
| 21.99 | 4.042 | 51 |
| 22.81 | 3.898 | 83 |
| 27.14 | 3.285 | 33 |
| 31.81 | 2.813 | 37 |
| 31.98 | 2.798 | 60 |
| 37.23 | 2.415 | 100 |
| 39.24 | 2.296 | 47 |
| 43.91 | 2.062 | 31 |
| 44.31 | 2.044 | 34 |

Cell: 11.4831 4.5916 9.4089 Å, 90.00 112.76 90.00°
Space group C2/m (No. 12)
Unique sites:
Ca 0.0000 0.0000 0.0000 (multiplicity 2)
Ca 0.1809 0.5000 0.6344 (multiplicity 4)
Hg 0.0211 0.0000 0.3573 (multiplicity 4)
Hg 0.2364 0.5000 0.0834 (multiplicity 4)
Ge 0.1026 0.5000 0.2689 (multiplicity 4)

***

[2]
CaHgGe2O6: computed X-ray diffraction stick pattern (copper Kα), based on a structure optimized by DFT (PBE).

Principal peaks in the range 2θ from 10° to 80°, sorted by position:
| two_theta | d_spacing | I_rel |
| --- | --- | --- |
| 18.13 | 4.893 | 77 |
| 22.69 | 3.920 | 32 |
| 24.82 | 3.588 | 100 |
| 26.50 | 3.364 | 77 |
| 27.71 | 3.220 | 79 |
| 30.87 | 2.897 | 58 |
| 32.91 | 2.722 | 33 |
| 33.04 | 2.711 | 54 |
| 36.69 | 2.449 | 62 |
| 39.14 | 2.301 | 37 |

Cell: 10.6927 10.1662 5.7238 Å, 90.00 108.67 90.00°
Space group C2/c (No. 15)
Unique sites:
Ca 0.0000 0.1016 0.2500 (multiplicity 4)
Hg 0.0000 0.2804 0.7500 (multiplicity 4)
Ge 0.2016 0.4216 0.2322 (multiplicity 8)
O 0.1234 0.2691 0.1221 (multiplicity 8)
O 0.1266 0.0758 0.6579 (multiplicity 8)
O 0.1383 0.4649 0.4792 (multiplicity 8)

***

Question: Number 1 is which compound?
Answer: Ca3Hg4Ge2

***

Repeat the second record exactly.
CaHgGe2O6: computed X-ray diffraction stick pattern (copper Kα), based on a structure optimized by DFT (PBE).

Principal peaks in the range 2θ from 10° to 80°, sorted by position:
| two_theta | d_spacing | I_rel |
| --- | --- | --- |
| 18.13 | 4.893 | 77 |
| 22.69 | 3.920 | 32 |
| 24.82 | 3.588 | 100 |
| 26.50 | 3.364 | 77 |
| 27.71 | 3.220 | 79 |
| 30.87 | 2.897 | 58 |
| 32.91 | 2.722 | 33 |
| 33.04 | 2.711 | 54 |
| 36.69 | 2.449 | 62 |
| 39.14 | 2.301 | 37 |

Cell: 10.6927 10.1662 5.7238 Å, 90.00 108.67 90.00°
Space group C2/c (No. 15)
Unique sites:
Ca 0.0000 0.1016 0.2500 (multiplicity 4)
Hg 0.0000 0.2804 0.7500 (multiplicity 4)
Ge 0.2016 0.4216 0.2322 (multiplicity 8)
O 0.1234 0.2691 0.1221 (multiplicity 8)
O 0.1266 0.0758 0.6579 (multiplicity 8)
O 0.1383 0.4649 0.4792 (multiplicity 8)